This entry pairs a crystal structure of SrSn3 with its calculated XRD peak list. Radiation: Cu Kα (λ = 1.5418 Å). Structure: a cell relaxed with PBE.
Peak positions follow from Bragg's law for the DFT cell and can differ from measured ones.

Cell and atoms:
```
data_SrSn3
_cell_length_a 12.1053
_cell_length_b 12.1053
_cell_length_c 12.1053
_cell_angle_alpha 33.33
_cell_angle_beta 33.33
_cell_angle_gamma 33.33
_symmetry_space_group_name_H-M 'P 1'
_symmetry_Int_Tables_number 1
_symmetry_space_group_name_Hall 'P 1'
loop_
_atom_site_label
_atom_site_type_symbol
_atom_site_fract_x
_atom_site_fract_y
_atom_site_fract_z
_atom_site_occupancy
Sr1 Sr 0.1329 0.1329 0.1329 1
Sr2 Sr 0.2928 0.2928 0.2928 1
Sr3 Sr 0.7072 0.7072 0.7072 1
Sr4 Sr 0.8671 0.8671 0.8671 1
Sn1 Sn 0.1608 0.6014 0.6014 1
Sn2 Sn 0.2063 0.2063 0.7183 1
Sn3 Sn 0.2063 0.7183 0.2063 1
Sn4 Sn 0.2817 0.7937 0.7937 1
Sn5 Sn 0.3986 0.3986 0.8392 1
Sn6 Sn 0.3986 0.8392 0.3986 1
Sn7 Sn 0.6014 0.1608 0.6014 1
Sn8 Sn 0.6014 0.6014 0.1608 1
Sn9 Sn 0.7183 0.2063 0.2063 1
Sn10 Sn 0.7937 0.2817 0.7937 1
Sn11 Sn 0.7937 0.7937 0.2817 1
Sn12 Sn 0.8392 0.3986 0.3986 1
```

Top 10 peaks for 2θ from 10° to 80°, in order of rising 2θ:
| two_theta | I/Imax |
| --- | --- |
| 30.18 | 34 |
| 31.32 | 50 |
| 32.53 | 100 |
| 35.03 | 77 |
| 39.89 | 17 |
| 52.75 | 33 |
| 54.84 | 22 |
| 59.80 | 13 |
| 62.64 | 37 |
| 63.35 | 13 |

This entry pairs a crystal structure of ThRe2 with its calculated XRD peak list. Radiation: Cu Kα (λ = 1.5418 Å). Structure: a cell relaxed with PBE.
Peak positions follow from Bragg's law for the DFT cell and can differ from measured ones.

Cell and atoms:
```
data_ThRe2
_cell_length_a 5.4128
_cell_length_b 5.4128
_cell_length_c 9.4295
_cell_angle_alpha 90.00
_cell_angle_beta 90.00
_cell_angle_gamma 120.00
_symmetry_space_group_name_H-M 'P 1'
_symmetry_Int_Tables_number 1
_symmetry_space_group_name_Hall 'P 1'
loop_
_atom_site_label
_atom_site_type_symbol
_atom_site_fract_x
_atom_site_fract_y
_atom_site_fract_z
_atom_site_occupancy
Th1 Th 0.3333 0.6667 0.0609 1
Th2 Th 0.3333 0.6667 0.4391 1
Th3 Th 0.6667 0.3333 0.5609 1
Th4 Th 0.6667 0.3333 0.9391 1
Re1 Re 0.0000 0.0000 0.0000 1
Re2 Re 0.0000 0.0000 0.5000 1
Re3 Re 0.1695 0.3390 0.7500 1
Re4 Re 0.1695 0.8305 0.7500 1
Re5 Re 0.3390 0.1695 0.2500 1
Re6 Re 0.6610 0.8305 0.7500 1
Re7 Re 0.8305 0.1695 0.2500 1
Re8 Re 0.8305 0.6610 0.2500 1
```

Top 10 peaks for 2θ from 10° to 80°, in order of rising 2θ:
| two_theta | I/Imax |
| --- | --- |
| 33.10 | 28 |
| 34.35 | 69 |
| 38.18 | 18 |
| 38.35 | 100 |
| 39.62 | 67 |
| 59.93 | 27 |
| 62.63 | 22 |
| 63.29 | 32 |
| 69.46 | 24 |
| 79.84 | 13 |